Record 1
Starting from a structure optimized by DFT (GGA-PBE), the XRD peak list of Li8TaO6 was computed for λ = 1.5418 Å (Cu Kα).

a b c (Å): 5.602 5.602 11.566
angles (deg): 90.00 90.00 120.00
Positions (direct):
Li: 0.000 0.311 0.000
Li: 0.000 0.392 0.366
Li: 0.000 0.608 0.866
Li: 0.000 0.689 0.500
Li: 0.311 0.000 0.000
Li: 0.311 0.311 0.500
Li: 0.333 0.667 0.135
Li: 0.333 0.667 0.635
Li: 0.392 0.000 0.366
Li: 0.392 0.392 0.866
Li: 0.608 0.000 0.866
Li: 0.608 0.608 0.366
Li: 0.667 0.333 0.135
Li: 0.667 0.333 0.635
Li: 0.689 0.000 0.500
Li: 0.689 0.689 0.000
Ta: 0.000 0.000 0.210
Ta: 0.000 0.000 0.710
O: 0.000 0.000 0.381
O: 0.000 0.000 0.881
O: 0.000 0.334 0.189
O: 0.000 0.666 0.689
O: 0.333 0.667 0.453
O: 0.333 0.667 0.953
O: 0.334 0.000 0.189
O: 0.334 0.334 0.689
O: 0.666 0.000 0.689
O: 0.666 0.666 0.189
O: 0.667 0.333 0.453
O: 0.667 0.333 0.953

Largest 6 diffraction maxima, in order of falling intensity, 2θ = 10–80°:
- 2θ 23.94, intensity 100.0
- 2θ 18.29, intensity 81.3
- 2θ 15.32, intensity 39.8
- 2θ 31.95, intensity 28.6
- 2θ 36.16, intensity 26.2
- 2θ 40.32, intensity 25.8

=====

Record 2
Starting from a structure optimized by DFT (GGA-PBE), the XRD peak list of CsMo2IrS8 was computed for λ = 1.5418 Å (Cu Kα).

a b c (Å): 10.219 10.219 10.219
angles (deg): 35.40 35.40 35.40
Positions (direct):
Cs: 0.000 0.000 0.000
Mo: 0.237 0.237 0.237
Mo: 0.763 0.763 0.763
Ir: 0.500 0.500 0.500
S: 0.141 0.453 0.759
S: 0.241 0.859 0.547
S: 0.313 0.313 0.313
S: 0.453 0.759 0.141
S: 0.547 0.241 0.859
S: 0.687 0.687 0.687
S: 0.759 0.141 0.453
S: 0.859 0.547 0.241

Largest 6 diffraction maxima, in order of falling intensity, 2θ = 10–80°:
- 2θ 20.63, intensity 100.0
- 2θ 28.73, intensity 39.4
- 2θ 29.93, intensity 23.4
- 2θ 35.64, intensity 22.9
- 2θ 46.40, intensity 22.5
- 2θ 48.00, intensity 21.8